Entry 1:
The following is a simulated PXRD pattern of V2H4Rh3. It was derived from a crystal structure in Alexandria, relaxed with GGA-PBE, using Cu Kα (λ = 1.5418 Å).
No peak broadening, texture or thermal motion is included.

Top 10 peaks for 15 to 90 degrees two-theta, most intense first:
hkl  2θ (°)  Rel. int.
0 1 2  40.36  100
1 0 3  44.37  80
1 0 1  37.78  61
0 0 5  40.19  46
1 1 5  80.60  34
1 1 0  66.46  31
0 1 4  49.55  28
0 1 7  70.30  18
0 0 2  15.80  17
1 0 6  62.62  15

Cell and atoms:
abc: 2.8136 2.8136 11.2200
angles: 90.00 90.00 120.00
Space group P-3m1 (No. 164)
One atom of each set of equivalent atoms:
V 0.3333 0.6667 0.2043 [2 per cell]
H 0.0000 0.0000 0.2992 [2 per cell]
H 0.3333 0.6667 0.8869 [2 per cell]
Rh 0.0000 0.0000 0.0000 [1 per cell]
Rh 0.3333 0.6667 0.6016 [2 per cell]

Entry 2:
The following is a simulated PXRD pattern of Tb2Pm5Er3. It was derived from a crystal structure in Alexandria, relaxed with GGA-PBE, using Cu Kα (λ = 1.5418 Å).
No peak broadening, texture or thermal motion is included.

Top 10 peaks for 15 to 90 degrees two-theta, most intense first:
hkl  2θ (°)  Rel. int.
2 4 -2  31.09  100
2 2 1  29.61  96
4 0 -2  33.49  46
2 4 4  63.28  27
2 0 -4  36.30  24
4 6 -5  60.67  23
0 8 0  48.72  23
0 4 2  32.11  22
0 6 3  49.02  22
2 6 -1  39.94  19

Cell and atoms:
abc: 10.7045 14.9402 9.9370
angles: 90.00 122.57 90.00
Space group C2/c (No. 15)
One atom of each set of equivalent atoms:
Tb 0.1507 0.1284 0.0552 [8 per cell]
Pm 0.0000 0.0195 0.2500 [4 per cell]
Pm 0.0000 0.2282 0.2500 [4 per cell]
Pm 0.0000 0.4787 0.7500 [4 per cell]
Pm 0.2457 0.3703 0.2414 [8 per cell]
Er 0.0000 0.2736 0.7500 [4 per cell]
Er 0.1541 0.3744 0.5560 [8 per cell]

Entry 3:
The following is a simulated PXRD pattern of La2InNiHg. It was derived from a crystal structure in Alexandria, relaxed with GGA-PBE, using Cu Kα (λ = 1.5418 Å).
No peak broadening, texture or thermal motion is included.

Top 10 peaks for 15 to 90 degrees two-theta, most intense first:
hkl  2θ (°)  Rel. int.
1 1 1  29.66  100
2 0 0  33.56  57
2 0 2  50.02  37
3 1 1  57.62  31
0 0 2  35.97  23
2 2 0  48.20  20
2 2 2  61.59  19
1 0 0  16.60  15
1 1 3  60.82  13
3 1 3  81.14  12

Cell and atoms:
abc: 5.3400 5.3400 4.9930
angles: 90.00 90.00 90.00
Space group P4/mmm (No. 123)
One atom of each set of equivalent atoms:
La 0.0000 0.5000 0.0000 [2 per cell]
In 0.0000 0.0000 0.5000 [1 per cell]
Ni 0.5000 0.5000 0.0000 [1 per cell]
Hg 0.5000 0.5000 0.5000 [1 per cell]